Diffraction record for NiRh. The X-ray diffraction stick pattern is simulated, not measured: it uses a DFT-relaxed cell (GGA-PBE, the Materials Project) and Cu Kα.
No peak broadening, texture or thermal motion is included.

Structural model:
Unit cell a=2.6547 b=2.6547 c=12.5099 alpha=90.00 beta=90.00 gamma=120.00
Fractional positions:
Ni 0.0000 0.0000 0.0000
Ni 0.3333 0.6667 0.6667
Ni 0.6667 0.3333 0.3333
Rh 0.0000 0.0000 0.5000
Rh 0.3333 0.6667 0.1667
Rh 0.6667 0.3333 0.8333

The 10 most intense peaks (10° ≤ 2θ ≤ 90°), sorted by position:
2θ = 21.31°, rel. 11
2θ = 39.87°, rel. 6
2θ = 41.86°, rel. 100
2θ = 43.40°, rel. 30
2θ = 49.19°, rel. 62
2θ = 71.01°, rel. 20
2θ = 73.20°, rel. 18
2θ = 85.98°, rel. 12
2θ = 87.03°, rel. 23
2θ = 89.11°, rel. 11

=====

Diffraction record for Ni2RhS4. The X-ray diffraction stick pattern is simulated, not measured: it uses a DFT-relaxed cell (GGA-PBE, the Materials Project) and Cu Kα.
No peak broadening, texture or thermal motion is included.

Structural model:
Unit cell a=6.7926 b=6.7926 c=6.7926 alpha=120.19 beta=119.65 gamma=90.14
Fractional positions:
Ni 0.0000 0.0000 0.5000
Ni 0.0000 0.5000 0.0000
Ni 0.3760 0.1260 0.2500
Ni 0.6240 0.8740 0.7500
Rh 0.0000 0.5000 0.5000
Rh 0.5000 0.5000 0.0000
S 0.2303 0.7474 0.4829
S 0.2355 0.2526 0.9829
S 0.2394 0.2485 0.5091
S 0.2394 0.7302 0.9909
S 0.7606 0.2698 0.0091
S 0.7606 0.7515 0.4909
S 0.7645 0.7474 0.0171
S 0.7697 0.2526 0.5171

The 10 most intense peaks (10° ≤ 2θ ≤ 90°), sorted by position:
2θ = 16.00°, rel. 45
2θ = 26.27°, rel. 38
2θ = 30.77°, rel. 77
2θ = 30.91°, rel. 100
2θ = 37.43°, rel. 83
2θ = 49.15°, rel. 19
2θ = 49.33°, rel. 44
2θ = 53.69°, rel. 22
2θ = 54.00°, rel. 86
2θ = 54.16°, rel. 22

=====

Diffraction record for Sc2NiRh. The X-ray diffraction stick pattern is simulated, not measured: it uses a DFT-relaxed cell (GGA-PBE, the Materials Project) and Cu Kα.
No peak broadening, texture or thermal motion is included.

Structural model:
Unit cell a=6.4229 b=6.4229 c=6.4229 alpha=90.00 beta=90.00 gamma=90.00
Fractional positions:
Sc 0.2500 0.2500 0.2500
Sc 0.2500 0.2500 0.7500
Sc 0.2500 0.7500 0.2500
Sc 0.2500 0.7500 0.7500
Sc 0.7500 0.2500 0.2500
Sc 0.7500 0.2500 0.7500
Sc 0.7500 0.7500 0.2500
Sc 0.7500 0.7500 0.7500
Ni 0.0000 0.0000 0.0000
Ni 0.0000 0.5000 0.5000
Ni 0.5000 0.0000 0.5000
Ni 0.5000 0.5000 0.0000
Rh 0.0000 0.0000 0.5000
Rh 0.0000 0.5000 0.0000
Rh 0.5000 0.0000 0.0000
Rh 0.5000 0.5000 0.5000

The 10 most intense peaks (10° ≤ 2θ ≤ 90°), sorted by position:
2θ = 24.00°, rel. 6
2θ = 27.78°, rel. 13
2θ = 39.69°, rel. 100
2θ = 46.92°, rel. 3
2θ = 49.14°, rel. 4
2θ = 57.38°, rel. 16
2θ = 63.09°, rel. 1
2θ = 64.93°, rel. 5
2θ = 72.03°, rel. 31
2θ = 85.53°, rel. 10

=====

Diffraction record for NiRu. The X-ray diffraction stick pattern is simulated, not measured: it uses a DFT-relaxed cell (GGA-PBE, the Materials Project) and Cu Kα.
No peak broadening, texture or thermal motion is included.

Structural model:
Unit cell a=2.6525 b=2.6525 c=4.1410 alpha=90.00 beta=90.00 gamma=120.00
Fractional positions:
Ni 0.0000 0.0000 0.0000
Ru 0.6667 0.3333 0.5000

The 10 most intense peaks (10° ≤ 2θ ≤ 90°), sorted by position:
2θ = 21.46°, rel. 8
2θ = 39.22°, rel. 29
2θ = 43.72°, rel. 24
2θ = 45.14°, rel. 100
2θ = 60.17°, rel. 16
2θ = 71.08°, rel. 16
2θ = 81.32°, rel. 17
2θ = 84.32°, rel. 3
2θ = 87.31°, rel. 18
2θ = 88.30°, rel. 14

=====

Diffraction record for Ni4Ru. The X-ray diffraction stick pattern is simulated, not measured: it uses a DFT-relaxed cell (GGA-PBE, the Materials Project) and Cu Kα.
No peak broadening, texture or thermal motion is included.

Structural model:
Unit cell a=2.5584 b=2.5584 c=30.3897 alpha=90.00 beta=90.00 gamma=120.00
Fractional positions:
Ni 0.0000 0.0000 0.0984
Ni 0.0000 0.0000 0.3005
Ni 0.0000 0.0000 0.6995
Ni 0.0000 0.0000 0.9016
Ni 0.3333 0.6667 0.3662
Ni 0.3333 0.6667 0.5683
Ni 0.3333 0.6667 0.7651
Ni 0.3333 0.6667 0.9672
Ni 0.6667 0.3333 0.0328
Ni 0.6667 0.3333 0.2349
Ni 0.6667 0.3333 0.4317
Ni 0.6667 0.3333 0.6338
Ru 0.0000 0.0000 0.5000
Ru 0.3333 0.6667 0.1667
Ru 0.6667 0.3333 0.8333

The 10 most intense peaks (10° ≤ 2θ ≤ 90°), sorted by position:
2θ = 17.51°, rel. 3
2θ = 26.40°, rel. 2
2θ = 35.45°, rel. 1
2θ = 41.17°, rel. 1
2θ = 43.47°, rel. 100
2θ = 44.73°, rel. 30
2θ = 45.99°, rel. 2
2θ = 51.01°, rel. 61
2θ = 74.12°, rel. 19
2θ = 75.93°, rel. 17

=====

Diffraction record for NiSb6Ru. The X-ray diffraction stick pattern is simulated, not measured: it uses a DFT-relaxed cell (GGA-PBE, the Materials Project) and Cu Kα.
No peak broadening, texture or thermal motion is included.

Structural model:
Unit cell a=7.9998 b=7.9998 c=9.2636 alpha=124.90 beta=124.90 gamma=70.99
Fractional positions:
Ni 0.0000 0.5000 0.0000
Ni 0.5000 0.0000 0.0000
Sb 0.0051 0.3196 0.1607
Sb 0.1596 0.8355 0.3405
Sb 0.1645 0.8404 0.6595
Sb 0.3196 0.0051 0.1607
Sb 0.3423 0.3423 0.0039
Sb 0.3433 0.3433 0.6796
Sb 0.6567 0.6567 0.3204
Sb 0.6577 0.6577 0.9961
Sb 0.6804 0.9949 0.8393
Sb 0.8355 0.1596 0.3405
Sb 0.8404 0.1645 0.6595
Sb 0.9949 0.6804 0.8393
Ru 0.0000 0.5000 0.5000
Ru 0.5000 0.0000 0.5000

The 10 most intense peaks (10° ≤ 2θ ≤ 90°), sorted by position:
2θ = 19.14°, rel. 19
2θ = 30.42°, rel. 100
2θ = 30.51°, rel. 68
2θ = 30.62°, rel. 36
2θ = 36.13°, rel. 39
2θ = 36.31°, rel. 22
2θ = 43.63°, rel. 43
2θ = 47.89°, rel. 22
2θ = 50.22°, rel. 18
2θ = 89.67°, rel. 16

=====

Diffraction record for Sm2NiRu. The X-ray diffraction stick pattern is simulated, not measured: it uses a DFT-relaxed cell (GGA-PBE, the Materials Project) and Cu Kα.
No peak broadening, texture or thermal motion is included.

Structural model:
Unit cell a=6.9514 b=6.9514 c=6.9514 alpha=90.00 beta=90.00 gamma=90.00
Fractional positions:
Sm 0.2500 0.2500 0.2500
Sm 0.2500 0.2500 0.7500
Sm 0.2500 0.7500 0.2500
Sm 0.2500 0.7500 0.7500
Sm 0.7500 0.2500 0.2500
Sm 0.7500 0.2500 0.7500
Sm 0.7500 0.7500 0.2500
Sm 0.7500 0.7500 0.7500
Ni 0.0000 0.0000 0.0000
Ni 0.0000 0.5000 0.5000
Ni 0.5000 0.0000 0.5000
Ni 0.5000 0.5000 0.0000
Ru 0.0000 0.0000 0.5000
Ru 0.0000 0.5000 0.0000
Ru 0.5000 0.0000 0.0000
Ru 0.5000 0.5000 0.5000

The 10 most intense peaks (10° ≤ 2θ ≤ 90°), sorted by position:
2θ = 22.15°, rel. 2
2θ = 25.63°, rel. 10
2θ = 36.56°, rel. 100
2θ = 45.18°, rel. 3
2θ = 52.67°, rel. 17
2θ = 59.47°, rel. 4
2θ = 65.82°, rel. 35
2θ = 77.71°, rel. 11
2θ = 83.43°, rel. 2
2θ = 89.08°, rel. 16

=====

Diffraction record for Tm2NiRu. The X-ray diffraction stick pattern is simulated, not measured: it uses a DFT-relaxed cell (GGA-PBE, the Materials Project) and Cu Kα.
No peak broadening, texture or thermal motion is included.

Structural model:
Unit cell a=6.6983 b=6.6983 c=6.6983 alpha=90.00 beta=90.00 gamma=90.00
Fractional positions:
Tm 0.2500 0.2500 0.2500
Tm 0.2500 0.2500 0.7500
Tm 0.2500 0.7500 0.2500
Tm 0.2500 0.7500 0.7500
Tm 0.7500 0.2500 0.2500
Tm 0.7500 0.2500 0.7500
Tm 0.7500 0.7500 0.2500
Tm 0.7500 0.7500 0.7500
Ni 0.0000 0.0000 0.0000
Ni 0.0000 0.5000 0.5000
Ni 0.5000 0.0000 0.5000
Ni 0.5000 0.5000 0.0000
Ru 0.0000 0.0000 0.5000
Ru 0.0000 0.5000 0.0000
Ru 0.5000 0.0000 0.0000
Ru 0.5000 0.5000 0.5000

The 10 most intense peaks (10° ≤ 2θ ≤ 90°), sorted by position:
2θ = 23.00°, rel. 1
2θ = 26.62°, rel. 14
2θ = 38.00°, rel. 100
2θ = 44.88°, rel. 1
2θ = 46.99°, rel. 4
2θ = 54.82°, rel. 17
2θ = 61.96°, rel. 6
2θ = 68.64°, rel. 35
2θ = 81.24°, rel. 11
2θ = 87.35°, rel. 3